Simulated powder XRD pattern
Compound: Li3Fe2Si2O8
Radiation: CuKα
Structure: a DFT-relaxed cell (GGA+U, Alexandria)
Intensities are scaled so that the largest is 100.

Most intense lines, 10 to 80 degrees two-theta, sorted by position:
2θ (°)	d/Å	I_rel	(hkl)
13.0	6.790	100.0	0 0 1
21.0	4.232	39.8	0 1 1
21.8	4.073	20.7	1 0 1
22.2	4.005	23.8	1 0 -1
27.8	3.205	30.4	1 -1 1
28.1	3.175	29.9	1 1 -1
31.7	2.827	20.0	0 1 -2
33.8	2.652	35.9	0 2 0
35.7	2.512	41.6	2 0 0
54.0	1.698	18.0	0 0 4

Structural model:
Cell lengths 5.0251, 5.3055, 6.7932 Å; angles 88.54, 88.99, 89.89 degrees
Space group P1 (No. 1)
Unique sites:
Li: 0.0000 0.0000 0.0000 [1 per cell]
Li: 0.0024 0.4855 0.2153 [1 per cell]
Li: 0.4968 0.8003 0.2085 [1 per cell]
Fe: 0.4733 0.8460 0.7036 [1 per cell]
Fe: 0.9912 0.4549 0.6895 [1 per cell]
Si: 0.0044 0.9582 0.4390 [1 per cell]
Si: 0.4837 0.3224 0.9592 [1 per cell]
O: 0.3227 0.9055 0.4465 [1 per cell]
O: 0.3620 0.4641 0.7539 [1 per cell]
O: 0.3781 0.4671 0.1470 [1 per cell]
O: 0.3922 0.0227 0.9526 [1 per cell]
O: 0.8179 0.3313 0.9280 [1 per cell]
O: 0.8816 0.8038 0.6462 [1 per cell]
O: 0.8820 0.8450 0.2408 [1 per cell]
O: 0.9337 0.2608 0.4669 [1 per cell]